1.
The following is a calculated X-ray powder pattern of H3PbCI3NF3. It was derived from the PBE geometry in the Materials Project, using Cu Kα, 1.54184 Å.
Lines closer than 0.1° are merged.

Cell and atoms:
abc: 6.467 6.477 6.559
angles: 90.00 91.15 90.00
Atoms (fractional coordinates):
H  0.000  0.000  0.000
H  0.961  0.134  0.781
H  0.961  0.866  0.781
Pb  0.704  0.500  0.290
C  0.257  0.000  0.802
I  0.228  0.500  0.318
I  0.771  0.000  0.306
I  0.787  0.500  0.785
N  0.032  0.000  0.842
F  0.285  0.000  0.600
F  0.342  0.170  0.883
F  0.342  0.830  0.883

Main lines, sorted by position (2θ from 10° to 90°):
13.50 deg, d = 6.558 Å, I = 48.1
13.68 deg, d = 6.471 Å, I = 92.2
23.55 deg, d = 3.778 Å, I = 20.0
23.87 deg, d = 3.728 Å, I = 25.0
27.20 deg, d = 3.279 Å, I = 55.9
27.57 deg, d = 3.236 Å, I = 100.0
30.57 deg, d = 2.924 Å, I = 36.9
30.83 deg, d = 2.900 Å, I = 54.0
39.10 deg, d = 2.304 Å, I = 37.6
39.38 deg, d = 2.288 Å, I = 32.9

---

2.
The following is a calculated X-ray powder pattern of Cs6WN4. It was derived from the PBE geometry in the Materials Project, using Cu Kα, 1.54184 Å.
Lines closer than 0.1° are merged.

Cell and atoms:
abc: 8.947 8.947 7.925
angles: 90.00 90.00 90.00
Atoms (fractional coordinates):
Cs  0.039  0.539  0.250
Cs  0.039  0.961  0.250
Cs  0.250  0.250  0.013
Cs  0.250  0.250  0.513
Cs  0.461  0.539  0.250
Cs  0.461  0.961  0.250
Cs  0.539  0.039  0.750
Cs  0.539  0.461  0.750
Cs  0.750  0.750  0.487
Cs  0.750  0.750  0.987
Cs  0.961  0.039  0.750
Cs  0.961  0.461  0.750
W  0.250  0.750  0.750
W  0.750  0.250  0.250
N  0.068  0.750  0.621
N  0.250  0.568  0.879
N  0.250  0.932  0.879
N  0.432  0.750  0.621
N  0.568  0.250  0.379
N  0.750  0.068  0.121
N  0.750  0.432  0.121
N  0.932  0.250  0.379

Main lines, sorted by position (2θ from 10° to 90°):
24.93 deg, d = 3.572 Å, I = 68.4
26.54 deg, d = 3.358 Å, I = 77.5
28.21 deg, d = 3.163 Å, I = 100.0
30.13 deg, d = 2.966 Å, I = 74.1
32.07 deg, d = 2.791 Å, I = 61.1
39.12 deg, d = 2.303 Å, I = 31.8
40.32 deg, d = 2.237 Å, I = 33.0
45.85 deg, d = 1.979 Å, I = 38.4
54.67 deg, d = 1.679 Å, I = 36.4
56.60 deg, d = 1.626 Å, I = 32.5

---

3.
The following is a calculated X-ray powder pattern of BrCl. It was derived from the PBE geometry in the Materials Project, using Cu Kα, 1.54184 Å.
Lines closer than 0.1° are merged.

Cell and atoms:
abc: 4.646 4.646 7.811
angles: 90.00 90.00 64.05
Atoms (fractional coordinates):
Br  0.000  0.000  0.000
Br  0.000  0.000  0.500
Cl  0.287  0.713  0.750
Cl  0.713  0.287  0.250

Main lines, sorted by position (2θ from 10° to 90°):
21.27 deg, d = 4.178 Å, I = 86.8
22.57 deg, d = 3.939 Å, I = 100.0
24.16 deg, d = 3.684 Å, I = 31.4
31.36 deg, d = 2.853 Å, I = 97.2
38.86 deg, d = 2.317 Å, I = 18.0
43.43 deg, d = 2.084 Å, I = 30.1
45.51 deg, d = 1.993 Å, I = 33.2
49.49 deg, d = 1.842 Å, I = 40.2
52.29 deg, d = 1.749 Å, I = 18.0
65.18 deg, d = 1.431 Å, I = 17.0

---

4.
The following is a calculated X-ray powder pattern of KNaTi4P6O24. It was derived from the PBE geometry in the Materials Project, using Cu Kα, 1.54184 Å.
Lines closer than 0.1° are merged.

Cell and atoms:
abc: 9.076 9.076 9.076
angles: 56.30 56.30 56.30
Atoms (fractional coordinates):
K  0.000  0.000  0.000
Na  0.500  0.500  0.500
Ti  0.148  0.148  0.148
Ti  0.353  0.353  0.353
Ti  0.647  0.647  0.647
Ti  0.852  0.852  0.852
P  0.034  0.750  0.467
P  0.250  0.533  0.966
P  0.467  0.034  0.750
P  0.533  0.966  0.250
P  0.750  0.467  0.034
P  0.966  0.250  0.533
O  0.007  0.763  0.643
O  0.065  0.928  0.293
O  0.072  0.707  0.935
O  0.141  0.264  0.508
O  0.211  0.572  0.437
O  0.237  0.357  0.993
O  0.264  0.508  0.141
O  0.293  0.065  0.928
O  0.357  0.993  0.237
O  0.428  0.563  0.789
O  0.437  0.211  0.572
O  0.492  0.859  0.736
O  0.508  0.141  0.264
O  0.563  0.789  0.428
O  0.572  0.437  0.211
O  0.643  0.007  0.763
O  0.707  0.935  0.072
O  0.736  0.492  0.859
O  0.763  0.643  0.007
O  0.789  0.428  0.563
O  0.859  0.736  0.492
O  0.928  0.293  0.065
O  0.935  0.072  0.707
O  0.993  0.237  0.357

Main lines, sorted by position (2θ from 10° to 90°):
14.24 deg, d = 6.219 Å, I = 16.1
19.62 deg, d = 4.524 Å, I = 15.6
20.74 deg, d = 4.282 Å, I = 39.8
23.84 deg, d = 3.732 Å, I = 100.0
28.71 deg, d = 3.110 Å, I = 23.4
31.45 deg, d = 2.845 Å, I = 59.9
32.17 deg, d = 2.782 Å, I = 12.8
36.34 deg, d = 2.472 Å, I = 15.6
48.81 deg, d = 1.866 Å, I = 19.7
56.90 deg, d = 1.618 Å, I = 13.3

---

5.
The following is a calculated X-ray powder pattern of P2S5. It was derived from the PBE geometry in the Materials Project, using Cu Kα, 1.54184 Å.
Lines closer than 0.1° are merged.

Cell and atoms:
abc: 9.679 9.824 9.825
angles: 92.89 109.71 100.66
Atoms (fractional coordinates):
P  0.077  0.281  0.337
P  0.177  0.026  0.841
P  0.256  0.812  0.597
P  0.262  0.706  0.930
P  0.738  0.294  0.070
P  0.744  0.188  0.403
P  0.823  0.974  0.159
P  0.923  0.719  0.663
S  0.025  0.716  0.503
S  0.031  0.609  0.834
S  0.054  0.072  0.254
S  0.198  0.216  0.916
S  0.279  0.022  0.681
S  0.283  0.915  0.012
S  0.287  0.368  0.423
S  0.346  0.809  0.451
S  0.358  0.607  0.086
S  0.363  0.703  0.770
S  0.637  0.297  0.230
S  0.642  0.393  0.914
S  0.654  0.191  0.549
S  0.713  0.632  0.577
S  0.717  0.085  0.988
S  0.721  0.978  0.319
S  0.802  0.784  0.084
S  0.946  0.928  0.746
S  0.969  0.391  0.166
S  0.975  0.284  0.497

Main lines, sorted by position (2θ from 10° to 90°):
11.14 deg, d = 7.944 Å, I = 100.0
12.51 deg, d = 7.074 Å, I = 82.9
13.85 deg, d = 6.392 Å, I = 60.0
14.15 deg, d = 6.258 Å, I = 58.2
21.96 deg, d = 4.048 Å, I = 74.4
22.38 deg, d = 3.972 Å, I = 68.8
23.79 deg, d = 3.740 Å, I = 83.5
28.19 deg, d = 3.166 Å, I = 82.6
28.99 deg, d = 3.080 Å, I = 69.2
29.22 deg, d = 3.056 Å, I = 62.2

---

6.
The following is a calculated X-ray powder pattern of Sr2IrO4. It was derived from the PBE geometry in the Materials Project, using Cu Kα, 1.54184 Å.
Lines closer than 0.1° are merged.

Cell and atoms:
abc: 13.689 13.689 13.689
angles: 156.72 156.72 33.16
Atoms (fractional coordinates):
Sr  0.050  0.300  0.750
Sr  0.200  0.450  0.750
Sr  0.300  0.050  0.250
Sr  0.450  0.200  0.250
Sr  0.550  0.800  0.750
Sr  0.700  0.950  0.750
Sr  0.800  0.550  0.250
Sr  0.950  0.700  0.250
Ir  0.125  0.875  0.250
Ir  0.375  0.625  0.750
Ir  0.625  0.375  0.250
Ir  0.875  0.125  0.750
O  0.045  0.795  0.250
O  0.064  0.814  0.629
O  0.186  0.314  0.250
O  0.205  0.955  0.250
O  0.295  0.545  0.750
O  0.314  0.564  0.129
O  0.436  0.064  0.750
O  0.455  0.705  0.750
O  0.545  0.295  0.250
O  0.564  0.936  0.250
O  0.686  0.436  0.871
O  0.705  0.455  0.250
O  0.795  0.045  0.750
O  0.814  0.686  0.750
O  0.936  0.186  0.371
O  0.955  0.205  0.750

Main lines, sorted by position (2θ from 10° to 90°):
13.50 deg, d = 6.560 Å, I = 41.3
23.77 deg, d = 3.744 Å, I = 18.0
30.69 deg, d = 2.913 Å, I = 100.0
32.41 deg, d = 2.762 Å, I = 60.5
41.29 deg, d = 2.187 Å, I = 17.1
41.46 deg, d = 2.178 Å, I = 16.9
46.50 deg, d = 1.953 Å, I = 26.7
53.45 deg, d = 1.714 Å, I = 23.8
56.75 deg, d = 1.622 Å, I = 40.0
63.91 deg, d = 1.457 Å, I = 16.6

---

7.
The following is a calculated X-ray powder pattern of MgTiPbO3. It was derived from the PBE geometry in the Materials Project, using Cu Kα, 1.54184 Å.
Lines closer than 0.1° are merged.

Cell and atoms:
abc: 3.826 3.826 6.077
angles: 106.29 106.29 90.51
Atoms (fractional coordinates):
Mg  0.000  0.000  0.000
Ti  0.601  0.601  0.268
Pb  0.341  0.341  0.637
O  0.064  0.570  0.143
O  0.570  0.064  0.143
O  0.829  0.829  0.619

Main lines, sorted by position (2θ from 10° to 90°):
15.90 deg, d = 5.573 Å, I = 51.3
24.35 deg, d = 3.656 Å, I = 63.2
24.88 deg, d = 3.579 Å, I = 44.0
32.12 deg, d = 2.787 Å, I = 34.0
33.01 deg, d = 2.714 Å, I = 100.0
33.30 deg, d = 2.690 Å, I = 31.8
34.23 deg, d = 2.620 Å, I = 62.3
36.80 deg, d = 2.442 Å, I = 32.5
47.56 deg, d = 1.912 Å, I = 36.0
59.64 deg, d = 1.550 Å, I = 22.1

---

8.
The following is a calculated X-ray powder pattern of CsReO4. It was derived from the PBE geometry in the Materials Project, using Cu Kα, 1.54184 Å.
Lines closer than 0.1° are merged.

Cell and atoms:
abc: 5.964 6.163 14.666
angles: 90.00 90.00 90.00
Atoms (fractional coordinates):
Cs  0.023  0.250  0.128
Cs  0.477  0.750  0.628
Cs  0.523  0.250  0.372
Cs  0.977  0.750  0.872
Re  0.034  0.750  0.381
Re  0.466  0.250  0.881
Re  0.534  0.750  0.119
Re  0.966  0.250  0.619
O  0.017  0.017  0.685
O  0.017  0.483  0.685
O  0.146  0.250  0.525
O  0.185  0.250  0.918
O  0.315  0.750  0.418
O  0.354  0.750  0.025
O  0.483  0.517  0.185
O  0.483  0.983  0.185
O  0.517  0.017  0.815
O  0.517  0.483  0.815
O  0.646  0.250  0.975
O  0.685  0.250  0.582
O  0.815  0.750  0.082
O  0.854  0.750  0.475
O  0.983  0.517  0.315
O  0.983  0.983  0.315

Main lines, sorted by position (2θ from 10° to 90°):
24.05 deg, d = 3.700 Å, I = 100.0
24.28 deg, d = 3.666 Å, I = 24.4
28.98 deg, d = 3.081 Å, I = 16.4
29.96 deg, d = 2.982 Å, I = 14.5
38.15 deg, d = 2.359 Å, I = 15.0
38.93 deg, d = 2.314 Å, I = 12.6
42.58 deg, d = 2.123 Å, I = 21.4
48.49 deg, d = 1.877 Å, I = 16.1
49.25 deg, d = 1.850 Å, I = 12.5
49.76 deg, d = 1.832 Å, I = 14.0